(1)
AgMo6Br13: theoretical X-ray powder pattern (CuKα), based on DFT lattice parameters and positions (GGA-PBE).

Structural model:
Unit cell a=9.886 b=9.891 c=14.845 alpha=98.10 beta=108.66 gamma=104.39
Space group P-1 (No. 2)
Asymmetric unit:
1 Ag 0.098 0.342 0.260 (multiplicity 2)
2 Mo 0.326 0.033 0.422 (multiplicity 2)
3 Mo 0.339 0.411 0.034 (multiplicity 2)
4 Mo 0.372 0.569 0.908 (multiplicity 2)
5 Mo 0.392 0.804 0.474 (multiplicity 2)
6 Mo 0.449 0.039 0.610 (multiplicity 2)
7 Mo 0.454 0.333 0.904 (multiplicity 2)
8 Br 0.083 0.079 0.313 (multiplicity 2)
9 Br 0.111 0.283 0.081 (multiplicity 2)
10 Br 0.168 0.314 0.848 (multiplicity 2)
11 Br 0.171 0.877 0.507 (multiplicity 2)
12 Br 0.198 0.664 0.776 (multiplicity 2)
13 Br 0.240 0.530 0.437 (multiplicity 2)
14 Br 0.259 0.646 0.037 (multiplicity 2)
15 Br 0.271 0.801 0.288 (multiplicity 2)
16 Br 0.377 0.085 0.770 (multiplicity 2)
17 Br 0.382 0.262 0.555 (multiplicity 2)
18 Br 0.420 0.177 0.029 (multiplicity 2)
19 Br 0.487 0.189 0.340 (multiplicity 2)
20 Br 0.489 0.493 0.781 (multiplicity 2)

Principal peaks in the range 10 to 90 degrees two-theta, by angle:
| d/Å | Position (°2θ) | I_rel | (hkl) |
| --- | --- | --- | --- |
| 8.722 | 10.14 | 100 | 0 1 -1 |
| 6.949 | 12.74 | 94 | 0 1 1 |
| 6.756 | 13.10 | 79 | 1 0 -2 |
| 6.414 | 13.81 | 58 | 1 -1 1 |
| 2.678 | 33.46 | 25 | -1 1 5 |
| 2.146 | 42.11 | 23 | 4 1 -4 |

=====

(2)
KBa2MgAg: theoretical X-ray powder pattern (CuKα), based on DFT lattice parameters and positions (GGA-PBE).

Structural model:
Unit cell a=6.606 b=6.606 c=5.508 alpha=90.00 beta=90.00 gamma=90.00
Space group P4/mmm (No. 123)
Asymmetric unit:
1 K 0.000 0.000 0.000 (multiplicity 1)
2 Ba 0.000 0.500 0.500 (multiplicity 2)
3 Mg 0.500 0.500 0.000 (multiplicity 1)
4 Ag 0.500 0.500 0.500 (multiplicity 1)

Principal peaks in the range 10 to 90 degrees two-theta, by angle:
| d/Å | Position (°2θ) | I_rel | (hkl) |
| --- | --- | --- | --- |
| 5.508 | 16.09 | 81 | 0 0 1 |
| 3.562 | 25.00 | 59 | 1 1 1 |
| 3.303 | 26.99 | 100 | 2 0 0 |
| 2.833 | 31.58 | 64 | 2 0 1 |
| 2.336 | 38.55 | 38 | 2 2 0 |
| 2.115 | 42.75 | 56 | 2 0 2 |